1.
Calculated powder diffraction line list
Compound: Fe3NiP2
Radiation: Cu Kα
Structure: a structure optimized by DFT (PBE)
No peak broadening, texture or thermal motion is included.

Structural model:
```
data_Fe3NiP2
_chemical_formula_sum 'Fe6 Ni2 P4'
_space_group_name_H-M_alt 'P m c 21'
_space_group_IT_number 26
_cell_length_a 3.552
_cell_length_b 6.523
_cell_length_c 5.747
_cell_angle_alpha 90.00
_cell_angle_beta 90.00
_cell_angle_gamma 90.00
loop_
_space_group_symop_operation_xyz
'x,y,z'
'-x,-y,z+1/2'
'-x,y,z'
'x,-y,z+1/2'
loop_
_atom_site_label
_atom_site_fract_x
_atom_site_fract_y
_atom_site_fract_z
Fe1 0.000 0.086 0.000
Fe2 0.000 0.317 0.381
Fe3 0.500 0.181 0.673
Ni1 0.500 0.414 0.055
P1 0.000 0.368 0.764
P2 0.500 0.131 0.293
```

Peak list (10 most intense, 2θ from 10° to 90°, by intensity)
40.71 deg, I 100, hkl 1 2 1; 42.79 deg, I 72, hkl 1 1 2; 51.46 deg, I 39, hkl 2 0 0; 40.38 deg, I 38, hkl 1 0 2; 49.60 deg, I 27, hkl 0 1 3; 44.55 deg, I 26, hkl 0 3 1; 49.13 deg, I 24, hkl 1 3 0; 82.25 deg, I 16, hkl 1 4 3; 74.26 deg, I 15, hkl 2 1 3; 55.64 deg, I 14, hkl 0 2 3

***

2.
Calculated powder diffraction line list
Compound: HfMg6TiO8
Radiation: Cu Kα
Structure: a structure optimized by DFT (PBE)
No peak broadening, texture or thermal motion is included.

Structural model:
```
data_HfMg6TiO8
_chemical_formula_sum 'Hf1 Mg6 Ti1 O8'
_space_group_name_H-M_alt 'P 4/m m m'
_space_group_IT_number 123
_space_group_name_Hall '-P 4 2'
_cell_length_a 4.367
_cell_length_b 4.367
_cell_length_c 8.758
_cell_angle_alpha 90.00
_cell_angle_beta 90.00
_cell_angle_gamma 90.00
loop_
_atom_site_label
_atom_site_fract_x
_atom_site_fract_y
_atom_site_fract_z
Hf1 0.000 0.000 0.000
Mg1 0.000 0.500 0.259
Mg2 0.500 0.500 0.000
Mg3 0.500 0.500 0.500
Ti1 0.000 0.000 0.500
O1 0.000 0.000 0.249
O2 0.000 0.500 0.000
O3 0.000 0.500 0.500
O4 0.500 0.500 0.252
```

Peak list (10 most intense, 2θ from 10° to 90°, by intensity)
20.31 deg, I 100, hkl 0 0 2; 41.35 deg, I 92, hkl 2 0 0; 28.88 deg, I 84, hkl 1 1 0; 59.84 deg, I 83, hkl 2 2 0; 10.10 deg, I 72, hkl 0 0 1; 35.57 deg, I 66, hkl 1 1 2; 22.75 deg, I 55, hkl 1 0 1; 41.23 deg, I 46, hkl 0 0 4; 30.68 deg, I 38, hkl 0 0 3; 51.19 deg, I 35, hkl 1 1 4

***

3.
Calculated powder diffraction line list
Compound: ZrAsPd
Radiation: Cu Kα
Structure: a structure optimized by DFT (PBE)
No peak broadening, texture or thermal motion is included.

Structural model:
```
data_ZrAsPd
_chemical_formula_sum 'Zr10 As10 Pd10'
_space_group_name_H-M_alt 'P m m n'
_space_group_IT_number 59
_cell_length_a 3.961
_cell_length_b 19.686
_cell_length_c 6.776
_cell_angle_alpha 90.00
_cell_angle_beta 90.00
_cell_angle_gamma 90.00
loop_
_space_group_symop_operation_xyz
'x,y,z'
'-x,-y,-z'
'-x+1/2,-y+1/2,z'
'x+1/2,y+1/2,-z'
'x+1/2,-y,-z'
'-x+1/2,y,z'
'-x,y+1/2,-z'
'x,-y+1/2,z'
loop_
_atom_site_label
_atom_site_fract_x
_atom_site_fract_y
_atom_site_fract_z
Zr1 0.250 0.069 0.031
Zr2 0.250 0.128 0.545
Zr3 0.250 0.250 0.155
As1 0.250 0.250 0.747
As2 0.250 0.552 0.256
As3 0.250 0.651 0.754
Pd1 0.250 0.527 0.646
Pd2 0.250 0.674 0.119
Pd3 0.250 0.750 0.511
```

Peak list (10 most intense, 2θ from 10° to 90°, by intensity)
34.78 deg, I 100, hkl 1 0 2; 37.52 deg, I 57, hkl 1 3 2; 45.81 deg, I 32, hkl 2 0 0; 39.29 deg, I 29, hkl 1 7 0; 46.34 deg, I 21, hkl 0 5 3; 38.94 deg, I 16, hkl 0 8 1; 40.99 deg, I 16, hkl 0 2 3; 67.21 deg, I 13, hkl 2 5 3; 45.41 deg, I 12, hkl 1 8 1; 41.74 deg, I 12, hkl 0 7 2

***

4.
Calculated powder diffraction line list
Compound: Rb2CuBiCl6
Radiation: Cu Kα
Structure: a structure optimized by DFT (PBE)
No peak broadening, texture or thermal motion is included.

Structural model:
```
data_Rb2CuBiCl6
_chemical_formula_sum 'Rb8 Cu4 Bi4 Cl24'
_space_group_name_H-M_alt 'F m -3 m'
_space_group_IT_number 225
_space_group_name_Hall '-F 4 2 3'
_cell_length_a 10.507
_cell_length_b 10.507
_cell_length_c 10.507
_cell_angle_alpha 90.00
_cell_angle_beta 90.00
_cell_angle_gamma 90.00
loop_
_atom_site_label
_atom_site_fract_x
_atom_site_fract_y
_atom_site_fract_z
Rb1 0.250 0.250 0.250
Cu1 0.000 0.000 0.000
Bi1 0.000 0.000 0.500
Cl1 0.000 0.000 0.240
```

Peak list (10 most intense, 2θ from 10° to 90°, by intensity)
23.95 deg, I 100, hkl 2 2 0; 34.13 deg, I 63, hkl 4 0 0; 42.13 deg, I 46, hkl 4 2 2; 49.04 deg, I 43, hkl 4 4 0; 16.88 deg, I 25, hkl 2 0 0; 66.60 deg, I 25, hkl 6 4 2; 55.29 deg, I 22, hkl 6 2 0; 14.60 deg, I 20, hkl 1 1 1; 28.17 deg, I 19, hkl 3 1 1; 82.03 deg, I 18, hkl 8 4 0

***

5.
Calculated powder diffraction line list
Compound: FeCN2
Radiation: Cu Kα
Structure: a structure optimized by DFT (PBE)
No peak broadening, texture or thermal motion is included.

Structural model:
```
data_FeCN2
_chemical_formula_sum 'Fe2 C2 N4'
_space_group_name_H-M_alt 'P 63/m m c'
_space_group_IT_number 194
_space_group_name_Hall '-P 6c 2c'
_cell_length_a 3.1644
_cell_length_b 3.1644
_cell_length_c 9.7018
_cell_angle_alpha 90.00
_cell_angle_beta 90.00
_cell_angle_gamma 120.00
loop_
_atom_site_label
_atom_site_fract_x
_atom_site_fract_y
_atom_site_fract_z
Fe1 0.0000 0.0000 0.0000
C1 0.3333 0.6667 0.2500
N1 0.3333 0.6667 0.1226
```

Peak list (10 most intense, 2θ from 10° to 90°, by intensity)
37.70 deg, I 100, hkl 1 0 2; 18.29 deg, I 61, hkl 0 0 2; 50.23 deg, I 45, hkl 1 0 4; 32.68 deg, I 29, hkl 1 0 0; 58.32 deg, I 25, hkl 1 1 0; 33.99 deg, I 22, hkl 1 0 1; 67.23 deg, I 16, hkl 1 0 6; 61.66 deg, I 14, hkl 1 1 2; 71.56 deg, I 13, hkl 2 0 2; 80.51 deg, I 9, hkl 2 0 4

***

6.
Calculated powder diffraction line list
Compound: Er2TeO6
Radiation: Cu Kα
Structure: a structure optimized by DFT (PBE)
No peak broadening, texture or thermal motion is included.

Structural model:
```
data_Er2TeO6
_chemical_formula_sum 'Er8 Te4 O24'
_space_group_name_H-M_alt 'P 21 21 21'
_space_group_IT_number 19
_cell_length_a 5.282
_cell_length_b 9.074
_cell_length_c 9.959
_cell_angle_alpha 90.00
_cell_angle_beta 90.00
_cell_angle_gamma 90.00
loop_
_space_group_symop_operation_xyz
'x,y,z'
'-x+1/2,-y,z+1/2'
'x+1/2,-y+1/2,-z'
'-x,y+1/2,-z+1/2'
loop_
_atom_site_label
_atom_site_fract_x
_atom_site_fract_y
_atom_site_fract_z
Er1 0.025 0.103 0.461
Er2 0.036 0.218 0.865
Te1 0.041 0.495 0.353
O1 0.082 0.844 0.025
O2 0.176 0.951 0.297
O3 0.180 0.643 0.821
O4 0.188 0.642 0.237
O5 0.229 0.116 0.064
O6 0.248 0.413 0.995
```

Peak list (10 most intense, 2θ from 10° to 90°, by intensity)
27.42 deg, I 100, hkl 1 2 1; 26.49 deg, I 94, hkl 1 1 2; 33.38 deg, I 59, hkl 1 1 3; 25.89 deg, I 51, hkl 1 2 0; 33.94 deg, I 37, hkl 2 0 0; 30.90 deg, I 36, hkl 0 3 1; 28.63 deg, I 33, hkl 0 1 3; 46.55 deg, I 32, hkl 2 3 1; 54.23 deg, I 31, hkl 1 5 1; 34.70 deg, I 25, hkl 0 3 2